Diffraction record for Nd3Al11. The XRD peak list is calculated, not measured: it uses a crystal structure in Alexandria, relaxed with GGA-PBE and Cu Kα.

Atomic structure:
```
14
Lattice="-2.193 5.004 6.518 2.193 -5.004 6.518 2.193 5.004 -6.518" Properties=species:S:1:pos:R:3 pbc="T T T"
Nd 0.000 0.000 0.000
Nd 0.000 0.000 4.133
Nd 0.000 0.000 8.902
Al 2.193 -1.316 2.162
Al 2.193 -2.254 4.735
Al 2.193 2.856 0.000
Al 2.193 1.316 2.162
Al 0.000 2.750 1.783
Al 0.000 5.004 0.000
Al 2.193 2.254 4.735
Al 0.000 3.688 4.356
Al 0.000 2.148 6.518
Al 0.000 7.258 1.783
Al 0.000 6.320 4.356
```

Most intense lines, 10° ≤ 2θ ≤ 80°, low angle first:
17.7°, I 32; 22.1°, I 48; 22.3°, I 46; 28.9°, I 39; 33.8°, I 40; 33.9°, I 34; 34.1°, I 100; 41.2°, I 24; 50.1°, I 21; 54.3°, I 18

***

Diffraction record for GaSi3. The XRD peak list is calculated, not measured: it uses a crystal structure in Alexandria, relaxed with GGA-PBE and Cu Kα.

Atomic structure:
```
8
Lattice="5.477 0.000 0.000 -1.521 5.564 0.000 -1.485 -2.925 4.838" Properties=species:S:1:pos:R:3 pbc="T T T"
Ga 0.000 0.000 0.000
Ga 0.441 1.318 3.941
Si -1.365 2.860 2.917
Si -0.187 -0.454 2.375
Si 0.605 3.090 1.353
Si 2.630 1.806 1.374
Si 2.913 -0.382 2.252
Si 2.883 -0.595 4.644
```

Most intense lines, 10° ≤ 2θ ≤ 80°, low angle first:
18.2°, I 32; 20.0°, I 47; 28.6°, I 32; 31.5°, I 100; 31.7°, I 50; 32.9°, I 97; 33.9°, I 94; 34.0°, I 73; 49.2°, I 33; 50.4°, I 64

***

Diffraction record for Tb2TmIO8. The XRD peak list is calculated, not measured: it uses a crystal structure in Alexandria, relaxed with GGA-PBE and Cu Kα.

Atomic structure:
```
12
Lattice="3.527 -3.596 0.000 3.527 3.596 0.000 0.000 0.000 6.797" Properties=species:S:1:pos:R:3 pbc="T T T"
Tb 0.000 0.000 1.685
Tb 0.000 0.000 5.112
Tm 3.527 0.000 0.000
I 3.527 0.000 3.398
O 1.377 0.000 0.000
O 1.634 0.000 3.398
O 3.527 1.287 1.970
O 3.527 1.287 4.827
O 3.527 -1.287 1.970
O 3.527 -1.287 4.827
O 5.419 0.000 3.398
O 5.676 0.000 0.000
```

Most intense lines, 10° ≤ 2θ ≤ 80°, low angle first:
24.8°, I 59; 25.3°, I 53; 31.8°, I 100; 35.7°, I 30; 48.2°, I 41; 48.8°, I 36; 58.3°, I 10; 60.2°, I 10; 61.6°, I 22; 66.4°, I 11

***

Diffraction record for CoRe2Pt. The XRD peak list is calculated, not measured: it uses a crystal structure in Alexandria, relaxed with GGA-PBE and Cu Kα.

Atomic structure:
```
4
Lattice="2.676 0.000 0.000 0.000 2.676 0.000 0.000 0.000 7.782" Properties=species:S:1:pos:R:3 pbc="T T T"
Co 0.000 0.000 0.000
Re 1.338 1.338 1.799
Re 1.338 1.338 5.983
Pt 0.000 0.000 3.891
```

Most intense lines, 10° ≤ 2θ ≤ 80°, low angle first:
11.4°, I 10; 34.6°, I 7; 35.5°, I 12; 40.9°, I 100; 46.7°, I 16; 48.1°, I 33; 60.6°, I 6; 69.3°, I 19; 69.9°, I 6; 70.4°, I 10